For Dy2P4O13, a PBE-relaxed structure gives the simulated powder diffractogram in this record (copper Kα).

Peak list (12 most intense, 2θ from 15° to 90°, by intensity)
| 2theta | I_rel |
| --- | --- |
| 25.19 | 100 |
| 24.70 | 94 |
| 20.15 | 80 |
| 34.06 | 58 |
| 22.66 | 54 |
| 37.05 | 47 |
| 49.86 | 43 |
| 44.08 | 33 |
| 35.24 | 33 |
| 32.47 | 28 |
| 29.11 | 27 |
| 52.57 | 25 |

Cell: 9.4951 9.4951 8.6279 Å, 90.00 90.00 136.27°
Fractional positions:
Dy  0.0994  0.3932  0.1471
Dy  0.3932  0.0994  0.8529
Dy  0.6068  0.9006  0.3529
Dy  0.9006  0.6068  0.6471
P  0.0847  0.4043  0.5028
P  0.2205  0.3372  0.7739
P  0.3372  0.2205  0.2261
P  0.4043  0.0847  0.4972
P  0.5957  0.9153  0.9972
P  0.6628  0.7795  0.7261
P  0.7795  0.6628  0.2739
P  0.9153  0.5957  0.0028
O  0.0275  0.4830  0.6085
O  0.0814  0.7605  0.8869
O  0.1131  0.3415  0.8979
O  0.1179  0.2880  0.6081
O  0.1981  0.2436  0.2043
O  0.2395  0.9186  0.6131
O  0.2436  0.1981  0.7957
O  0.2767  0.5677  0.4017
O  0.2880  0.1179  0.3919
O  0.3415  0.1131  0.1021
O  0.4323  0.7233  0.0983
O  0.4379  0.5621  0.7500
O  0.4830  0.0275  0.3915
O  0.5170  0.9725  0.8915
O  0.5621  0.4379  0.2500
O  0.5677  0.2767  0.5983
O  0.6585  0.8869  0.6021
O  0.7120  0.8821  0.8919
O  0.7233  0.4323  0.9017
O  0.7564  0.8019  0.2957
O  0.7605  0.0814  0.1131
O  0.8019  0.7564  0.7043
O  0.8821  0.7120  0.1081
O  0.8869  0.6585  0.3979
O  0.9186  0.2395  0.3869
O  0.9725  0.5170  0.1085